Entry 1:
Starting from a DFT-relaxed cell (PBE, Alexandria), the powder diffractogram of Sr2SmReO6 was simulated for Cu Kα X-rays.
Neutral-atom scattering factors, no anomalous dispersion.

Peak list (10 most intense, 15° ≤ 2θ ≤ 90°, most intense first)
2θ/deg	d_spacing	I (rel.)	(hkl)
30.1	2.966	100.0	1 1 1
30.3	2.950	99.0	1 1 -3
21.2	4.186	55.9	1 1 -1
43.2	2.095	50.0	2 2 -2
29.9	2.990	48.6	0 2 0
30.4	2.936	47.7	2 0 -2
54.1	1.695	33.1	3 1 -5
43.3	2.088	26.5	0 0 4
53.8	1.704	21.7	3 1 -1
53.5	1.712	21.5	0 2 4

Structure:
```
Sr2SmReO6
1.0
5.8722 0.0000 0.0000
0.0000 5.9804 0.0000
-5.8099 0.0000 8.3531
Sr Sm Re O
4 2 2 12
Direct
0.2392 0.0411 0.2500
0.2392 0.4589 0.7500
0.7608 0.5411 0.2500
0.7608 0.9589 0.7500
0.5000 0.0000 0.0000
0.5000 0.5000 0.5000
0.0000 0.0000 0.5000
0.0000 0.5000 0.0000
0.1423 0.2293 0.9531
0.1423 0.2707 0.4531
0.2280 0.6935 0.9575
0.2280 0.8065 0.4575
0.3131 0.0256 0.7300
0.3131 0.4744 0.2300
0.6869 0.5256 0.7700
0.6869 0.9744 0.2700
0.7720 0.1935 0.5425
0.7720 0.3065 0.0425
0.8577 0.7293 0.5469
0.8577 0.7707 0.0469
```

Entry 2:
Starting from a DFT-relaxed cell (PBE, Alexandria), the powder diffractogram of AcZnSi2Au5 was simulated for Cu Kα X-rays.
Neutral-atom scattering factors, no anomalous dispersion.

Peak list (10 most intense, 15° ≤ 2θ ≤ 90°, most intense first)
2θ/deg	d_spacing	I (rel.)	(hkl)
29.1	3.065	100.0	1 1 1
39.3	2.290	68.1	2 0 0
33.5	2.675	67.9	1 1 2
28.2	3.164	57.8	0 0 3
49.1	1.855	52.1	2 0 3
47.5	1.914	50.4	1 1 4
77.1	1.236	24.7	3 1 4
56.9	1.619	23.5	2 2 0
64.7	1.442	23.2	2 2 3
65.1	1.432	21.4	3 1 1

Structure:
```
AcZnSi2Au5
1.0
4.5805 0.0000 0.0000
0.0000 4.5805 0.0000
0.0000 0.0000 9.4929
Ac Zn Si Au
1 1 2 5
Direct
0.0000 0.0000 0.0000
0.0000 0.0000 0.5000
0.5000 0.5000 0.2496
0.5000 0.5000 0.7504
0.0000 0.5000 0.3408
0.0000 0.5000 0.6592
0.5000 0.0000 0.3408
0.5000 0.0000 0.6592
0.5000 0.5000 0.0000
```